Entry 1:
Starting from the PBE geometry in Alexandria, the powder XRD pattern of CaZn2H8Os was computed for Cu Kα.

Cell and atoms:
```
CaZn2H8Os
1.0
4.4924 0.0000 0.0000
-2.2462 3.8906 0.0000
0.0000 0.0000 6.1640
Ca Zn H Os
1 2 8 1
Direct
0.0000 0.0000 0.0000
0.3333 0.6667 0.3423
0.6667 0.3333 0.6577
0.1702 0.3404 0.6723
0.1702 0.8298 0.6723
0.3333 0.6667 0.0638
0.3404 0.1702 0.3277
0.6596 0.8298 0.6723
0.6667 0.3333 0.9362
0.8298 0.1702 0.3277
0.8298 0.6596 0.3277
0.0000 0.0000 0.5000
```

Principal peaks in the range 15 to 90 degrees two-theta, low angle first:
d (Å), 2θ/deg, I/Imax
3.891, 22.9, 56
3.290, 27.1, 64
2.416, 37.2, 100
2.246, 40.1, 72
2.110, 42.9, 42
1.816, 50.2, 43
1.645, 55.9, 31
1.433, 65.1, 21
1.327, 71.0, 29
1.196, 80.3, 18

---

Entry 2:
Starting from the PBE geometry in Alexandria, the powder XRD pattern of SrLiPd was computed for Cu Kα.

Cell and atoms:
```
SrLiPd
1.0
6.4315 0.0000 0.0000
0.0000 5.9854 0.0000
-3.0944 0.0000 7.5450
Sr Li Pd
4 4 4
Direct
0.1835 0.1198 0.3703
0.1835 0.3802 0.8703
0.8165 0.6198 0.1297
0.8165 0.8802 0.6297
0.4150 0.6060 0.3124
0.4150 0.8940 0.8124
0.5850 0.1060 0.1876
0.5850 0.3940 0.6876
0.1972 0.6261 0.5311
0.1972 0.8739 0.0311
0.8028 0.1261 0.9689
0.8028 0.3739 0.4689
```

Principal peaks in the range 15 to 90 degrees two-theta, low angle first:
d (Å), 2θ/deg, I/Imax
4.195, 21.2, 39
3.773, 23.6, 35
3.191, 28.0, 42
2.975, 30.0, 46
2.941, 30.4, 29
2.667, 33.6, 100
2.640, 34.0, 42
2.498, 35.9, 31
2.473, 36.3, 41
2.395, 37.6, 50

---

Entry 3:
Starting from the PBE geometry in Alexandria, the powder XRD pattern of Tb5PmDy6 was computed for Cu Kα.

Cell and atoms:
```
Tb5PmDy6
1.0
3.0821 -5.3341 0.0000
3.0821 5.3341 0.0000
-2.0426 0.0000 11.6091
Tb Pm Dy
5 1 6
Direct
0.0000 0.0000 0.0000
0.1667 0.8333 0.5000
0.3332 0.6668 0.0000
0.6668 0.3332 0.0000
0.8333 0.1667 0.5000
0.5000 0.5000 0.5000
0.0829 0.4166 0.2491
0.2495 0.2495 0.7507
0.4166 0.0829 0.2491
0.5834 0.9171 0.7509
0.7505 0.7505 0.2493
0.9171 0.5834 0.7509
```

Principal peaks in the range 15 to 90 degrees two-theta, low angle first:
d (Å), 2θ/deg, I/Imax
2.904, 30.8, 100
2.515, 35.7, 51
1.778, 51.4, 36
1.517, 61.1, 43
1.452, 64.1, 12
1.258, 75.6, 2
1.257, 75.7, 4
1.154, 83.8, 16
1.125, 86.5, 8
1.124, 86.6, 8